(1)
TbGaAs2O8: theoretical powder diffractogram (Cu Kα X-rays), based on the PBE geometry in Alexandria.
Peak positions follow from Bragg's law for the DFT cell and can differ from measured ones.

Principal peaks in the range 10 to 90 degrees two-theta, low angle first:
2θ = 25.48°, rel. 100, (2 0 0)
2θ = 34.19°, rel. 67, (1 1 2)
2θ = 36.35°, rel. 21, (2 2 0)
2θ = 50.76°, rel. 59, (3 1 2)
2θ = 52.35°, rel. 16, (4 0 0)
2θ = 64.02°, rel. 18, (3 3 2)

Cell and atoms:
a = 6.9909 Å, b = 6.9909 Å, c = 6.1879 Å
α = 90.00°, β = 90.00°, γ = 90.00°
Space group I-4m2 (No. 119)
One atom of each set of equivalent atoms:
Tb: 0.0000 0.0000 0.0000 [2 per cell]
Ga: 0.0000 0.5000 0.2500 [2 per cell]
As: 0.0000 0.0000 0.5000 [2 per cell]
As: 0.0000 0.5000 0.7500 [2 per cell]
O: 0.0000 0.1890 0.3194 [8 per cell]
O: 0.0000 0.3228 0.9423 [8 per cell]


(2)
KH4O2F: theoretical powder diffractogram (Cu Kα X-rays), based on the PBE geometry in Alexandria.
Peak positions follow from Bragg's law for the DFT cell and can differ from measured ones.

Principal peaks in the range 10 to 90 degrees two-theta, low angle first:
2θ = 26.47°, rel. 68, (0 1 2)
2θ = 27.47°, rel. 47, (1 1 0)
2θ = 29.30°, rel. 100, (1 1 1)
2θ = 34.27°, rel. 55, (1 1 2)
2θ = 42.27°, rel. 64, (1 2 1)
2θ = 46.55°, rel. 51, (1 0 4)

Cell and atoms:
a = 4.1589 Å, b = 5.1955 Å, c = 8.8416 Å
α = 90.00°, β = 90.00°, γ = 90.00°
Space group Pmc2_1 (No. 26)
One atom of each set of equivalent atoms:
K: 0.0000 0.1051 0.0000 [2 per cell]
H: 0.1890 0.4046 0.6821 [4 per cell]
H: 0.5000 0.2804 0.2982 [2 per cell]
H: 0.5000 0.3597 0.4705 [2 per cell]
O: 0.0000 0.3000 0.7128 [2 per cell]
O: 0.5000 0.2091 0.4021 [2 per cell]
F: 0.5000 0.4113 0.1177 [2 per cell]